The following is a simulated powder X-ray diffraction pattern of LiAl2Zn2Ag. It was derived from DFT lattice parameters and positions (GGA-PBE), using λ = 1.5418 Å (Cu Kα).
Intensities are scaled so that the largest is 100.

a b c (Å): 6.5745 5.2339 6.7858
angles (deg): 90.00 113.35 90.00
Space group P2_1/m (No. 11)
Inequivalent atoms, fractional coordinates:
Li 0.1936 0.2500 0.2850 (multiplicity 2)
Al 0.3743 0.0015 0.7531 (multiplicity 4)
Zn 0.0467 0.2500 0.7905 (multiplicity 2)
Zn 0.3852 0.7500 0.4287 (multiplicity 2)
Ag 0.2230 0.7500 0.0047 (multiplicity 2)

Top 10 peaks for 2θ from 10° to 90°, in order of rising 2θ:
(0 0 1), 14.2°, rel. 36
(0 1 1), 22.2°, rel. 58
(1 1 0), 22.5°, rel. 100
(1 1 1), 29.7°, rel. 32
(0 2 0), 34.3°, rel. 53
(1 1 2), 41.3°, rel. 79
(2 0 -3), 41.9°, rel. 59
(1 1 -3), 43.7°, rel. 44
(2 2 -1), 44.3°, rel. 44
(3 1 -1), 45.0°, rel. 49